# 1
Calculated X-ray diffraction stick pattern
Compound: PmErCdCo
Radiation: copper Kα
Structure: the PBE geometry in Alexandria
Lines closer than 0.1° are merged.

Structural model:
```
data_PmErCdCo
_symmetry_space_group_name_H-M 'P 4 m m'
_symmetry_Int_Tables_number 99
_symmetry_space_group_name_Hall 'P 4 -2'
_cell_length_a 3.448
_cell_length_b 3.448
_cell_length_c 7.751
_cell_angle_alpha 90.00
_cell_angle_beta 90.00
_cell_angle_gamma 90.00
loop_
_atom_site_label
_atom_site_fract_x
_atom_site_fract_y
_atom_site_fract_z
_atom_site_occupancy
Pm1 0.000 0.000 0.000 1
Er1 0.000 0.000 0.576 1
Cd1 0.500 0.500 0.301 1
Co1 0.500 0.500 0.774 1
```

Most intense lines, 2θ = 10–90°, most intense first:
(1 0 2), 2θ = 34.8°, rel. 100; (1 1 0), 2θ = 36.9°, rel. 50; (2 1 2), 2θ = 65.1°, rel. 37; (2 0 0), 2θ = 53.1°, rel. 17; (1 0 1), 2θ = 28.3°, rel. 13; (1 1 4), 2θ = 61.1°, rel. 11

---

# 2
Calculated X-ray diffraction stick pattern
Compound: Ba3US6
Radiation: copper Kα
Structure: the PBE geometry in Alexandria
Lines closer than 0.1° are merged.

Structural model:
```
data_Ba3US6
_symmetry_space_group_name_H-M 'R -3 c'
_symmetry_Int_Tables_number 167
_symmetry_space_group_name_Hall '-R 3 2"c'
_cell_length_a 12.0992
_cell_length_b 12.0992
_cell_length_c 14.9998
_cell_angle_alpha 90.00
_cell_angle_beta 90.00
_cell_angle_gamma 120.00
loop_
_atom_site_label
_atom_site_fract_x
_atom_site_fract_y
_atom_site_fract_z
_atom_site_occupancy
Ba1 0.0000 0.3616 0.2500 1
U1 0.0000 0.0000 0.0000 1
S1 0.0236 0.1850 0.4027 1
```

Most intense lines, 2θ = 10–90°, most intense first:
(0 1 2), 2θ = 14.5°, rel. 100; (3 0 0), 2θ = 25.5°, rel. 92; (2 2 3), 2θ = 34.7°, rel. 55; (1 1 3), 2θ = 23.1°, rel. 54; (3 1 2), 2θ = 33.1°, rel. 35; (1 1 6), 2θ = 39.0°, rel. 31